Diffraction record for Hf3Cd3AgF20. The powder diffraction line list is theoretical, not measured: it uses the PBE geometry in the Materials Project and Cu Kα (λ = 1.5418 Å).
No peak broadening, texture or thermal motion is included.

Atomic structure:
```
54
Lattice="10.6810 0.0000 0.0000 -5.3405 9.2500 0.0000 0.0000 0.0000 8.4727" Properties=species:S:1:pos:R:3 pbc="T T T"
Hf -0.7436 3.8587 2.1182
Hf -1.6270 7.9646 2.1182
Hf 2.9699 2.5733 6.3545
Hf 2.3706 6.6767 2.1182
Hf 6.9675 1.2854 6.3545
Hf 6.0841 5.3913 6.3545
Cd -0.5771 4.0025 6.3545
Cd -1.5857 7.7485 6.3545
Cd 3.1777 2.5010 2.1182
Cd 2.1628 6.7490 6.3545
Cd 6.9262 1.5015 2.1182
Cd 5.9175 5.2475 2.1182
Ag 0.0000 0.0000 2.1182
Ag 0.0000 0.0000 6.3545
F 0.0000 0.0000 0.0000
F 0.0000 0.0000 4.2363
F -3.9092 7.3735 6.3545
F -2.5214 5.4087 6.3545
F -3.5168 7.1658 2.1182
F -0.7168 3.9335 0.1245
F -0.7168 3.9335 4.1118
F -1.4058 5.8643 2.1182
F 0.9095 2.1778 6.3545
F 0.8931 2.6214 2.1182
F 2.3407 0.3013 2.1182
F -1.5756 7.9041 0.1245
F -1.5756 7.9041 4.1118
F 2.7168 0.5373 6.3545
F 0.0000 6.1667 6.3545
F 0.9648 5.1004 2.1182
F 1.9171 4.3621 6.3545
F 3.0481 2.5875 4.3609
F 3.0481 2.5875 8.3481
F 0.4411 7.5353 2.1182
F 4.7362 0.5208 2.1182
F 0.6043 8.7292 6.3545
F 4.8994 1.7147 6.3545
F 2.2924 6.6625 0.1245
F 2.2924 6.6625 4.1118
F 3.4234 4.8879 2.1182
F 4.3757 4.1496 6.3545
F 5.3405 3.0833 2.1182
F 2.6237 8.7127 2.1182
F 6.9161 1.3459 4.3609
F 6.9161 1.3459 8.3481
F 2.9998 8.9488 6.3545
F 4.4474 6.6286 6.3545
F 4.4310 7.0722 2.1182
F 6.7463 3.3857 6.3545
F 6.0573 5.3165 4.3609
F 6.0573 5.3165 8.3481
F 8.8573 2.0842 6.3545
F 7.8619 3.8413 2.1182
F 9.2497 1.8765 2.1182
```

Main lines, low angle first (10 to 90 degrees two-theta):
| 2theta | d (Å) | intensity |
| --- | --- | --- |
| 20.97 | 4.236 | 667 |
| 25.48 | 3.496 | 1000 |
| 33.22 | 2.697 | 525 |
| 42.68 | 2.118 | 160 |
| 44.91 | 2.019 | 324 |
| 50.06 | 1.822 | 293 |
| 50.37 | 1.812 | 302 |
| 52.34 | 1.748 | 150 |
| 56.99 | 1.616 | 143 |
| 63.68 | 1.461 | 209 |
| 69.75 | 1.348 | 120 |
| 86.89 | 1.121 | 120 |

=====

Diffraction record for Eu3Bi. The powder diffraction line list is theoretical, not measured: it uses the PBE geometry in the Materials Project and Cu Kα (λ = 1.5418 Å).
No peak broadening, texture or thermal motion is included.

Atomic structure:
```
8
Lattice="7.3907 0.0000 0.0000 -3.6953 6.4005 0.0000 0.0000 0.0000 5.9747" Properties=species:S:1:pos:R:3 pbc="T T T"
Eu 0.0000 2.2232 1.4937
Eu -1.7700 5.2889 1.4937
Eu 1.9253 1.1116 4.4810
Eu 1.7700 5.2889 1.4937
Eu 5.4654 1.1116 4.4810
Eu 3.6953 4.1774 4.4810
Bi 0.0000 4.2670 4.4810
Bi 3.6953 2.1335 1.4937
```

Main lines, low angle first (10 to 90 degrees two-theta):
| 2theta | d (Å) | intensity |
| --- | --- | --- |
| 27.88 | 3.200 | 231 |
| 29.91 | 2.987 | 261 |
| 31.72 | 2.821 | 1000 |
| 41.34 | 2.184 | 163 |
| 49.32 | 1.848 | 192 |
| 54.25 | 1.691 | 221 |
| 58.76 | 1.571 | 228 |
| 59.84 | 1.546 | 160 |
| 76.34 | 1.247 | 80 |
| 81.12 | 1.186 | 133 |
| 83.16 | 1.162 | 88 |
| 87.05 | 1.119 | 61 |

=====

Diffraction record for Rb3NbS4. The powder diffraction line list is theoretical, not measured: it uses the PBE geometry in the Materials Project and Cu Kα (λ = 1.5418 Å).
No peak broadening, texture or thermal motion is included.

Atomic structure:
```
32
Lattice="9.7168 0.0000 0.0000 0.0000 11.2888 0.0000 0.0000 0.0000 9.8851" Properties=species:S:1:pos:R:3 pbc="T T T"
Rb 0.5323 0.4974 2.0849
Rb 0.5323 5.1470 2.0849
Rb 1.3532 8.4666 4.1840
Rb 3.5052 2.8222 9.1265
Rb 4.3261 6.1418 7.0275
Rb 4.3261 10.7913 7.0275
Rb 5.3907 0.4974 2.8576
Rb 5.3907 5.1470 2.8576
Rb 6.2116 8.4666 0.7586
Rb 8.3636 2.8222 5.7011
Rb 9.1845 6.1418 7.8001
Rb 9.1845 10.7913 7.8001
Nb 2.1159 8.4666 9.7552
Nb 2.7425 2.8222 4.8126
Nb 6.9743 8.4666 5.0725
Nb 7.6009 2.8222 0.1299
S 0.0142 8.4666 0.8054
S 1.6171 0.9264 5.4398
S 1.6171 4.7180 5.4398
S 1.9126 8.4666 7.4649
S 2.9458 2.8222 2.5224
S 3.2413 6.5708 0.4973
S 3.2413 10.3624 0.4973
S 4.8442 2.8222 5.7479
S 4.8726 8.4666 4.1372
S 6.4755 0.9264 9.3878
S 6.4755 4.7180 9.3878
S 6.7710 8.4666 7.3627
S 7.8042 2.8222 2.4201
S 8.0997 6.5708 4.4453
S 8.0997 10.3624 4.4453
S 9.7026 2.8222 9.0797
```

Main lines, low angle first (10 to 90 degrees two-theta):
| 2theta | d (Å) | intensity |
| --- | --- | --- |
| 15.00 | 5.906 | 377 |
| 20.36 | 4.361 | 255 |
| 23.93 | 3.718 | 831 |
| 24.17 | 3.682 | 574 |
| 25.69 | 3.468 | 859 |
| 28.21 | 3.163 | 390 |
| 29.70 | 3.008 | 211 |
| 30.05 | 2.973 | 1000 |
| 31.40 | 2.849 | 351 |
| 31.71 | 2.822 | 335 |
| 36.60 | 2.455 | 377 |
| 46.92 | 1.936 | 222 |

=====

Diffraction record for Pr3Cr. The powder diffraction line list is theoretical, not measured: it uses the PBE geometry in the Materials Project and Cu Kα (λ = 1.5418 Å).
No peak broadening, texture or thermal motion is included.

Atomic structure:
```
4
Lattice="-2.4313 2.4313 5.2168 2.4313 -2.4313 5.2168 2.4313 2.4313 -5.2168" Properties=species:S:1:pos:R:3 pbc="T T T"
Pr 0.0000 0.0000 0.0000
Pr 2.4313 0.0000 2.6084
Pr 0.0000 2.4313 2.6084
Cr 0.0000 0.0000 5.2168
```

Main lines, low angle first (10 to 90 degrees two-theta):
| 2theta | d (Å) | intensity |
| --- | --- | --- |
| 20.15 | 4.407 | 95 |
| 31.15 | 2.871 | 1000 |
| 34.38 | 2.608 | 192 |
| 36.97 | 2.431 | 314 |
| 51.38 | 1.779 | 242 |
| 53.28 | 1.719 | 108 |
| 59.58 | 1.552 | 154 |
| 63.02 | 1.475 | 259 |
| 64.97 | 1.435 | 118 |
| 84.02 | 1.152 | 116 |
| 84.25 | 1.149 | 57 |
| 87.05 | 1.119 | 54 |